AgTe2S6: theoretical X-ray powder pattern (Cu Kα, 1.54184 Å), based on a cell relaxed with PBE.

Peak list (10 most intense, 10° ≤ 2θ ≤ 90°, low angle first)
| Position (°2θ) | I (rel.) | index |
| --- | --- | --- |
| 11.8 | 47 | 0 0 1 |
| 14.8 | 76 | 0 1 1 |
| 18.9 | 62 | 0 1 -1 |
| 21.1 | 55 | 1 1 0 |
| 24.5 | 34 | 0 2 0 |
| 25.4 | 100 | -1 1 1 |
| 26.9 | 36 | 1 1 2 |
| 27.3 | 42 | 1 0 2 |
| 39.1 | 33 | 1 2 3 |
| 40.4 | 37 | 1 3 0 |

Cell and atoms:
abc: 5.037 7.521 7.898
angles: 75.12 79.00 83.51
Space group P1 (No. 1)
Asymmetric unit:
Ag: 0.000 0.000 0.000 (multiplicity 1)
Te: 0.294 0.833 0.348 (multiplicity 1)
Te: 0.432 0.468 0.891 (multiplicity 1)
S: 0.154 0.262 0.761 (multiplicity 1)
S: 0.617 0.577 0.160 (multiplicity 1)
S: 0.627 0.081 0.280 (multiplicity 1)
S: 0.843 0.453 0.680 (multiplicity 1)
S: 0.878 0.019 0.464 (multiplicity 1)
S: 0.987 0.667 0.134 (multiplicity 1)